No. 1
Diffraction record for Li3V2F8. The powder X-ray diffraction pattern is calculated, not measured: it uses a GGA+U-relaxed structure and copper Kα.
Neutral-atom scattering factors, no anomalous dispersion.

Crystal structure
Lattice parameters (Å, degrees): 6.1240 5.4439 9.4946 90.00 94.23 90.00
Positions (direct):
Li1 0.0000 0.0000 0.0000
Li2 0.0000 0.5000 0.5000
Li3 0.3751 0.0208 0.7764
Li4 0.3751 0.4792 0.2764
Li5 0.6249 0.5208 0.7236
Li6 0.6249 0.9792 0.2236
V1 0.1263 0.5107 0.8722
V2 0.1263 0.9893 0.3722
V3 0.8737 0.0107 0.6278
V4 0.8737 0.4893 0.1278
F1 0.0425 0.6811 0.6831
F2 0.0425 0.8189 0.1831
F3 0.1661 0.1527 0.5683
F4 0.1661 0.3473 0.0683
F5 0.2609 0.6613 0.4246
F6 0.2609 0.8387 0.9246
F7 0.3993 0.1376 0.3091
F8 0.3993 0.3624 0.8091
F9 0.6007 0.6376 0.1909
F10 0.6007 0.8624 0.6909
F11 0.7391 0.1613 0.0754
F12 0.7391 0.3387 0.5754
F13 0.8339 0.6527 0.9317
F14 0.8339 0.8473 0.4317
F15 0.9575 0.1811 0.8169
F16 0.9575 0.3189 0.3169

Largest 10 diffraction maxima, low angle first, 5 to 70 degrees two-theta:
Position (°2θ), d_spacing, Rel. int.
14.5, 6.107, 100
18.8, 4.720, 59
24.3, 3.670, 51
24.6, 3.615, 38
37.7, 2.387, 66
41.6, 2.172, 35
48.0, 1.895, 25
49.7, 1.835, 20
54.4, 1.685, 19
60.2, 1.537, 26

No. 2
Diffraction record for La12Ni6O25. The powder X-ray diffraction pattern is calculated, not measured: it uses a GGA+U-relaxed structure and copper Kα.
Neutral-atom scattering factors, no anomalous dispersion.

Crystal structure
Lattice parameters (Å, degrees): 5.4893 5.5919 19.2356 81.68 89.98 89.98
Positions (direct):
La1 0.0000 0.0000 0.0000
La2 0.0002 0.3269 0.3286
La3 0.0128 0.5701 0.8511
La4 0.0164 0.2092 0.5184
La5 0.4932 0.0435 0.8511
La6 0.4943 0.7402 0.5183
La7 0.4957 0.4680 0.0001
La8 0.4967 0.8211 0.3283
La9 0.4979 0.3965 0.1897
La10 0.5153 0.1627 0.6672
La11 0.9955 0.6356 0.6671
La12 0.9988 0.8891 0.1899
Ni1 0.0040 0.1025 0.7591
Ni2 0.5024 0.9339 0.0932
Ni3 0.5050 0.6029 0.7591
Ni4 0.5084 0.2782 0.4253
Ni5 0.9932 0.4443 0.0931
Ni6 0.9981 0.7673 0.4254
O1 0.0297 0.9933 0.8757
O2 0.0367 0.7594 0.5483
O3 0.2475 0.1881 0.0942
O4 0.2482 0.1099 0.2586
O5 0.2476 0.6945 0.0828
O6 0.2513 0.0270 0.4206
O7 0.2541 0.3514 0.7625
O8 0.2553 0.8602 0.7453
O9 0.2559 0.5217 0.4326
O10 0.4721 0.1607 0.5483
O11 0.4757 0.5963 0.8756
O12 0.5070 0.0533 0.9700
O13 0.5376 0.6119 0.6425
O14 0.5450 0.8187 0.2015
O15 0.5547 0.3925 0.3173
O16 0.7471 0.6996 0.0704
O17 0.7476 0.1879 0.0957
O18 0.7508 0.0193 0.4271
O19 0.7538 0.3449 0.7733
O20 0.7554 0.8537 0.7553
O21 0.7562 0.5074 0.4505
O22 0.9485 0.4552 0.2011
O23 0.9499 0.7627 0.3172
O24 0.9728 0.2108 0.6427
O25 0.9969 0.4454 0.9701

Largest 10 diffraction maxima, low angle first, 5 to 70 degrees two-theta:
Position (°2θ), d_spacing, Rel. int.
23.8, 3.743, 22
31.1, 2.874, 100
32.0, 2.796, 32
32.6, 2.745, 32
42.4, 2.130, 15
43.1, 2.098, 13
43.6, 2.076, 13
46.4, 1.959, 33
56.5, 1.629, 20
57.3, 1.608, 18